(1)
Diffraction record for Ba4Br6O. The powder XRD pattern is computed, not measured: it uses a crystal structure in the Materials Project, relaxed with PBE and λ = 1.5418 Å (Cu Kα).
Lines closer than 0.1° are merged.

Crystal structure
Unit cell a=6.300 b=12.685 c=22.232 alpha=90.00 beta=90.00 gamma=90.00
Space group P2_12_12_1 (No. 19)
Unique sites:
Ba 0.029 0.222 0.203 x4
Ba 0.048 0.835 0.074 x4
Ba 0.050 0.411 0.045 x4
Ba 0.071 0.523 0.690 x4
Br 0.004 0.124 0.350 x4
Br 0.020 0.951 0.203 x4
Br 0.027 0.265 0.748 x4
Br 0.049 0.653 0.963 x4
Br 0.050 0.989 0.956 x4
Br 0.224 0.696 0.426 x4
O 0.176 0.365 0.144 x4

Top 8 peaks for 2θ from 10° to 90°, by angle:
Position (°2θ), d [Å], Rel. int.
10.58, 8.360, 43
18.44, 4.811, 57
19.78, 4.488, 63
20.26, 4.382, 41
22.50, 3.952, 45
28.33, 3.150, 100
30.11, 2.968, 96
32.16, 2.783, 71

---

(2)
Diffraction record for Ba4Br6O. The powder XRD pattern is computed, not measured: it uses a crystal structure in the Materials Project, relaxed with PBE and λ = 1.5418 Å (Cu Kα).
Lines closer than 0.1° are merged.

Crystal structure
Unit cell a=10.5172 b=10.5172 c=8.0388 alpha=90.00 beta=90.00 gamma=120.00
Space group P6_3mc (No. 186)
Unique sites:
Ba 0.1991 0.3983 0.0000 x6
Ba 0.3333 0.6667 0.4182 x2
Br 0.0616 0.5308 0.7077 x6
Br 0.1424 0.2848 0.3922 x6
O 0.3333 0.6667 0.0995 x2

Top 8 peaks for 2θ from 10° to 90°, by angle:
Position (°2θ), d [Å], Rel. int.
22.44, 3.962, 42
28.20, 3.165, 73
29.64, 3.014, 100
31.50, 2.840, 66
34.10, 2.629, 69
34.30, 2.615, 30
39.00, 2.309, 28
55.79, 1.648, 30

---

(3)
Diffraction record for Ba3Br2O2. The powder XRD pattern is computed, not measured: it uses a crystal structure in the Materials Project, relaxed with PBE and λ = 1.5418 Å (Cu Kα).
Lines closer than 0.1° are merged.

Crystal structure
Unit cell a=13.245 b=6.375 c=11.029 alpha=90.00 beta=90.00 gamma=90.00
Space group Pnma (No. 62)
Unique sites:
Ba 0.051 0.250 0.210 x4
Ba 0.076 0.250 0.561 x4
Ba 0.209 0.750 0.364 x4
Br 0.132 0.750 0.058 x4
Br 0.192 0.750 0.685 x4
O 0.074 0.000 0.377 x8

Top 8 peaks for 2θ from 10° to 90°, by angle:
Position (°2θ), d [Å], Rel. int.
10.44, 8.476, 23
25.84, 3.447, 58
28.00, 3.186, 100
28.83, 3.097, 43
30.42, 2.939, 58
38.47, 2.340, 23
46.63, 1.948, 18
51.06, 1.789, 17

---

(4)
Diffraction record for Ba3Br2O2. The powder XRD pattern is computed, not measured: it uses a crystal structure in the Materials Project, relaxed with PBE and λ = 1.5418 Å (Cu Kα).
Lines closer than 0.1° are merged.

Crystal structure
Unit cell a=7.599 b=8.201 c=7.898 alpha=90.00 beta=114.76 gamma=90.00
Space group P2_1/c (No. 14)
Unique sites:
Ba 0.000 0.000 0.000 x2
Ba 0.409 0.125 0.776 x4
Br 0.185 0.649 0.927 x4
O 0.340 0.110 0.066 x4

Top 8 peaks for 2θ from 10° to 90°, by angle:
Position (°2θ), d [Å], Rel. int.
25.02, 3.560, 71
25.15, 3.540, 41
25.89, 3.441, 100
28.06, 3.180, 44
30.56, 2.926, 56
32.61, 2.746, 47
35.15, 2.553, 24
35.93, 2.500, 42

---

(5)
Diffraction record for Ba3Br2O2. The powder XRD pattern is computed, not measured: it uses a crystal structure in the Materials Project, relaxed with PBE and λ = 1.5418 Å (Cu Kα).
Lines closer than 0.1° are merged.

Crystal structure
Unit cell a=13.797 b=6.479 c=11.057 alpha=90.00 beta=90.00 gamma=90.00
Space group Pnma (No. 62)
Unique sites:
Ba 0.046 0.250 0.220 x4
Ba 0.064 0.250 0.571 x4
Ba 0.208 0.750 0.378 x4
Br 0.043 0.250 0.893 x4
Br 0.205 0.750 0.682 x4
O 0.079 0.002 0.385 x8

Top 8 peaks for 2θ from 10° to 90°, by angle:
Position (°2θ), d [Å], Rel. int.
10.25, 8.628, 29
17.11, 5.181, 29
27.53, 3.240, 66
27.85, 3.204, 82
28.61, 3.121, 33
29.33, 3.045, 100
35.65, 2.518, 32
45.63, 1.988, 40

---

(6)
Diffraction record for BaBr2O6. The powder XRD pattern is computed, not measured: it uses a crystal structure in the Materials Project, relaxed with PBE and λ = 1.5418 Å (Cu Kα).
Lines closer than 0.1° are merged.

Crystal structure
Unit cell a=12.571 b=8.157 c=8.690 alpha=90.00 beta=129.48 gamma=90.00
Space group C2/c (No. 15)
Unique sites:
Ba 0.000 0.148 0.250 x4
Br 0.191 0.491 0.684 x8
O 0.098 0.337 0.085 x8
O 0.143 0.054 0.652 x8
O 0.188 0.408 0.503 x8

Top 8 peaks for 2θ from 10° to 90°, by angle:
Position (°2θ), d [Å], Rel. int.
14.91, 5.940, 100
24.46, 3.640, 56
25.56, 3.485, 37
26.58, 3.353, 35
28.59, 3.122, 95
29.72, 3.006, 67
30.09, 2.970, 51
49.41, 1.844, 41